Diffraction record for Dy2Y2O5. The X-ray powder pattern is computed, not measured: it uses a GGA-PBE-relaxed structure and a wavelength of 1.5418 Å.
Kinematic intensities with the Lorentz-polarization factor, no thermal factor.

Peak list (8 most intense, 10° ≤ 2θ ≤ 90°, in order of rising 2θ)
(hkl)	2theta	Rel. int.
1 0 2	29.21	100
1 1 0	32.49	33
0 0 4	36.44	12
2 0 0	46.61	20
1 1 4	49.61	31
2 1 2	55.95	33
1 0 6	61.20	11
2 1 6	80.28	12

Cell and atoms:
Cell: 3.8974 3.8974 9.8622 Å, 90.00 90.00 90.00°
Space group P4/mmm (No. 123)
Inequivalent atoms, fractional coordinates:
Dy  0.0000  0.0000  0.0000
Dy  0.0000  0.0000  0.5000
Y  0.5000  0.5000  0.2364
O  0.0000  0.5000  0.1407
O  0.5000  0.5000  0.5000



Diffraction record for DyY3O6. The X-ray powder pattern is computed, not measured: it uses a GGA-PBE-relaxed structure and a wavelength of 1.5418 Å.
Kinematic intensities with the Lorentz-polarization factor, no thermal factor.

Peak list (8 most intense, 10° ≤ 2θ ≤ 90°, in order of rising 2θ)
(hkl)	2theta	Rel. int.
2 2 -1	20.33	15
0 2 2	28.91	100
4 0 -4	33.50	29
4 4 -3	43.11	11
4 4 -4	48.11	41
8 2 -6	57.10	30
2 6 -3	58.51	7
8 6 -6	77.82	8

Cell and atoms:
Cell: 15.1311 10.7004 10.6982 Å, 90.00 134.99 90.00°
Space group C2 (No. 5)
Inequivalent atoms, fractional coordinates:
Dy  0.0000  0.0000  0.0000
Dy  0.0000  0.4997  0.0000
Dy  0.0328  0.2170  0.7830
Y  0.0000  0.4341  0.5000
Y  0.0000  0.9344  0.5000
Y  0.0327  0.7170  0.2826
Y  0.2497  0.2170  0.2498
Y  0.2500  0.2171  0.7500
Y  0.2500  0.4670  0.0326
Y  0.2500  0.4670  0.5328
O  0.1089  0.0875  0.7077
O  0.1087  0.3468  0.0101
O  0.1092  0.5872  0.5109
O  0.1090  0.8471  0.2070
O  0.1198  0.1187  0.2608
O  0.1200  0.3151  0.4789
O  0.1200  0.6184  0.9793
O  0.1202  0.8153  0.7611
O  0.1511  0.0761  0.0214
O  0.1513  0.5759  0.2808
O  0.1516  0.3578  0.7815
O  0.1517  0.8580  0.5219



Diffraction record for DyY7O12. The X-ray powder pattern is computed, not measured: it uses a GGA-PBE-relaxed structure and a wavelength of 1.5418 Å.
Kinematic intensities with the Lorentz-polarization factor, no thermal factor.

Peak list (8 most intense, 10° ≤ 2θ ≤ 90°, in order of rising 2θ)
(hkl)	2theta	Rel. int.
1 1 2	20.32	14
2 2 2	28.89	100
4 0 0	33.49	27
1 3 4	43.09	10
4 4 0	48.08	42
6 2 2	57.07	30
1 3 6	58.48	7
6 6 2	77.79	8

Cell and atoms:
Cell: 10.7030 10.7039 10.7056 Å, 90.00 90.00 90.00°
Space group I2_12_12_1 (No. 24)
Inequivalent atoms, fractional coordinates:
Dy  0.0000  0.2500  0.0328
Y  0.0000  0.2500  0.5327
Y  0.0326  0.0000  0.2500
Y  0.0327  0.5000  0.7500
Y  0.2500  0.0326  0.5000
Y  0.2500  0.2500  0.2499
Y  0.2500  0.4673  0.0000
O  0.1091  0.1518  0.3798
O  0.1089  0.3481  0.8800
O  0.1202  0.1090  0.6518
O  0.1201  0.3908  0.1516
O  0.1514  0.1204  0.1089
O  0.1518  0.3798  0.6091



Diffraction record for DyYO3. The X-ray powder pattern is computed, not measured: it uses a GGA-PBE-relaxed structure and a wavelength of 1.5418 Å.
Kinematic intensities with the Lorentz-polarization factor, no thermal factor.

Peak list (8 most intense, 10° ≤ 2θ ≤ 90°, in order of rising 2θ)
(hkl)	2theta	Rel. int.
0 0 4	27.88	46
1 1 1	28.56	100
1 1 2	31.07	72
1 1 3	34.89	31
1 1 5	45.24	31
3 0 0	48.95	42
1 1 6	51.36	22
3 0 4	57.28	36

Cell and atoms:
Cell: 6.4456 6.4456 12.8000 Å, 90.00 90.00 120.00°
Space group P6_3cm (No. 185)
Inequivalent atoms, fractional coordinates:
Dy  0.0000  0.3332  0.0000
Y  0.0000  0.0000  0.2685
Y  0.3333  0.6667  0.2354
O  0.0000  0.0000  0.4652
O  0.0000  0.3060  0.1740
O  0.0000  0.3636  0.8276
O  0.3333  0.6667  0.0286



Diffraction record for Dy2Zr2O7. The X-ray powder pattern is computed, not measured: it uses a GGA-PBE-relaxed structure and a wavelength of 1.5418 Å.
Kinematic intensities with the Lorentz-polarization factor, no thermal factor.

Peak list (8 most intense, 10° ≤ 2θ ≤ 90°, in order of rising 2θ)
(hkl)	2theta	Rel. int.
1 0 1	13.98	58
2 0 1	25.33	100
2 1 1	28.15	73
0 0 4	28.27	64
2 1 2	30.76	95
2 0 3	32.41	55
4 0 0	49.83	52
4 0 4	58.28	41

Cell and atoms:
Cell: 7.3219 7.3219 12.6268 Å, 90.00 90.00 90.00°
Space group P4_12_12 (No. 92)
Inequivalent atoms, fractional coordinates:
Dy  0.1268  0.3622  0.3854
Zr  0.1015  0.8700  0.0953
O  0.0694  0.9070  0.9136
O  0.0847  0.3276  0.5739
O  0.1369  0.3457  0.2062
O  0.1571  0.8429  0.2500



Diffraction record for Dy2Zr2O7. The X-ray powder pattern is computed, not measured: it uses a GGA-PBE-relaxed structure and a wavelength of 1.5418 Å.
Kinematic intensities with the Lorentz-polarization factor, no thermal factor.

Peak list (8 most intense, 10° ≤ 2θ ≤ 90°, in order of rising 2θ)
(hkl)	2theta	Rel. int.
2 0 2	29.04	100
0 1 2	29.88	94
0 0 4	33.65	18
2 1 0	34.40	40
4 0 0	48.35	17
2 1 4	48.89	62
4 1 2	57.88	39
2 2 2	59.33	28

Cell and atoms:
Cell: 7.5300 3.6128 10.6521 Å, 90.00 90.00 90.00°
Space group Pmma (No. 51)
Inequivalent atoms, fractional coordinates:
Dy  0.0000  0.0000  0.0000
Dy  0.2500  0.5000  0.2747
Zr  0.0000  0.0000  0.5000
Zr  0.2500  0.5000  0.7448
O  0.0196  0.5000  0.6185
O  0.0429  0.5000  0.1298
O  0.2500  0.0000  0.3897
O  0.2500  0.0000  0.6326
O  0.2500  0.0000  0.8792